1.
Diffraction record for Ta3N5. The XRD peak list is computed, not measured: it uses a DFT-relaxed cell (PBE, Alexandria) and Cu Kα.
Kinematic intensities with the Lorentz-polarization factor, no thermal factor.

Lattice parameters (Å, degrees): 3.9065 10.3197 10.3519 90.00 90.00 90.00
Space group Cmcm (No. 63)
Unique sites:
Ta (0.0000, 0.1333, 0.0595) x8
Ta (0.0000, 0.1979, 0.7500) x4
N (0.0000, 0.0470, 0.6194) x8
N (0.0000, 0.2366, 0.2500) x4
N (0.0000, 0.3086, 0.5739) x8

The 6 most intense peaks (15° ≤ 2θ ≤ 90°), in order of rising 2θ:
17.18 deg, I = 42, (0 2 0); 24.36 deg, I = 94, (1 1 0); 31.18 deg, I = 83, (0 2 3); 34.74 deg, I = 59, (1 3 0); 35.81 deg, I = 100, (1 1 3); 57.05 deg, I = 62, (2 2 3)

2.
Diffraction record for Ce3Fe4Ge4. The XRD peak list is computed, not measured: it uses a DFT-relaxed cell (PBE, Alexandria) and Cu Kα.
Kinematic intensities with the Lorentz-polarization factor, no thermal factor.

Lattice parameters (Å, degrees): 7.2922 7.2922 7.2922 90.00 90.00 90.00
Space group I-43m (No. 217)
Unique sites:
Ce (0.0000, 0.0000, 0.5000) x6
Fe (0.1231, 0.1231, 0.1231) x8
Ge (0.1944, 0.1944, 0.8056) x8

The 6 most intense peaks (15° ≤ 2θ ≤ 90°), in order of rising 2θ:
30.02 deg, I = 25, (2 1 1); 34.80 deg, I = 100, (2 2 0); 39.06 deg, I = 48, (3 1 0); 46.60 deg, I = 24, (3 2 1); 53.30 deg, I = 25, (4 1 1); 62.38 deg, I = 23, (4 2 2)

3.
Diffraction record for Ag5H2Pd12. The XRD peak list is computed, not measured: it uses a DFT-relaxed cell (PBE, Alexandria) and Cu Kα.
Kinematic intensities with the Lorentz-polarization factor, no thermal factor.

Lattice parameters (Å, degrees): 6.3788 6.3900 7.5703 104.71 94.72 107.43
Space group P-1 (No. 2)
Unique sites:
Ag (0.0000, 0.0000, 0.0000) x1
Ag (0.2383, 0.8806, 0.7022) x2
Ag (0.2936, 0.3556, 0.8814) x2
H (0.2519, 0.7505, 0.2487) x2
Pd (0.0542, 0.4651, 0.1769) x2
Pd (0.1175, 0.9486, 0.3571) x2
Pd (0.1746, 0.4104, 0.5275) x2
Pd (0.3578, 0.8278, 0.0522) x2
Pd (0.4090, 0.2946, 0.2386) x2
Pd (0.4765, 0.7597, 0.4168) x2

The 6 most intense peaks (15° ≤ 2θ ≤ 90°), in order of rising 2θ:
38.59 deg, I = 100, (1 2 0); 44.81 deg, I = 32, (0 1 3); 44.94 deg, I = 16, (3 0 -1); 65.35 deg, I = 20, (4 -3 1); 78.46 deg, I = 12, (-2 3 4); 78.58 deg, I = 12, (5 -1 1)

4.
Diffraction record for ZnCr2Fe. The XRD peak list is computed, not measured: it uses a DFT-relaxed cell (PBE, Alexandria) and Cu Kα.
Kinematic intensities with the Lorentz-polarization factor, no thermal factor.

Lattice parameters (Å, degrees): 2.4474 4.0262 4.9327 90.00 100.20 90.00
Space group Pm (No. 6)
Unique sites:
Zn (0.0000, 0.0000, 0.0000) x1
Cr (0.5082, 0.0000, 0.4973) x1
Cr (0.7002, 0.5000, 0.2616) x1
Fe (0.2571, 0.5000, 0.7490) x1

The 6 most intense peaks (15° ≤ 2θ ≤ 90°), in order of rising 2θ:
43.54 deg, I = 75, (0 1 2); 44.87 deg, I = 34, (1 0 1); 45.00 deg, I = 100, (0 2 0); 63.30 deg, I = 11, (1 0 -3); 65.46 deg, I = 20, (1 2 1); 80.80 deg, I = 10, (1 1 3)

5.
Diffraction record for AcTb5Dy6. The XRD peak list is computed, not measured: it uses a DFT-relaxed cell (PBE, Alexandria) and Cu Kα.
Kinematic intensities with the Lorentz-polarization factor, no thermal factor.

Lattice parameters (Å, degrees): 6.2138 10.7504 11.8662 90.00 99.98 90.00
Space group C2/m (No. 12)
Unique sites:
Ac (0.0000, 0.0000, 0.0000) x2
Tb (0.0000, 0.1671, 0.5000) x4
Tb (0.0000, 0.3334, 0.0000) x4
Tb (0.0000, 0.5000, 0.5000) x2
Dy (0.2473, 0.3319, 0.7458) x8
Dy (0.2484, 0.5000, 0.2543) x4

The 6 most intense peaks (15° ≤ 2θ ≤ 90°), in order of rising 2θ:
30.56 deg, I = 100, (1 3 1); 35.43 deg, I = 51, (2 0 2); 50.96 deg, I = 30, (0 6 0); 60.56 deg, I = 18, (4 0 0); 60.64 deg, I = 25, (0 6 4); 83.03 deg, I = 12, (4 6 0)